No. 1
# RbTlPt3
Theoretical powder XRD pattern, Cu Kα X-rays. Input: a cell relaxed with PBE.
Lines closer than 0.1° are merged.

Crystal structure
a = 9.1058 Å, b = 9.1058 Å, c = 9.1058 Å
α = 35.76°, β = 35.76°, γ = 35.76°
Atoms (fractional coordinates):
Rb1 0.1587 0.1587 0.1587
Rb2 0.8413 0.8413 0.8413
Tl1 0.4070 0.4070 0.4070
Tl2 0.5930 0.5930 0.5930
Pt1 0.1280 0.1280 0.6143
Pt2 0.1280 0.6143 0.1280
Pt3 0.3857 0.8720 0.8720
Pt4 0.6143 0.1280 0.1280
Pt5 0.8720 0.3857 0.8720
Pt6 0.8720 0.8720 0.3857

Principal peaks in the range 2θ = 5–70°, in order of rising 2θ:
2θ 10.39, d = 8.514 Å, rel. 100
2θ 30.68, d = 2.914 Å, rel. 23
2θ 31.52, d = 2.838 Å, rel. 26
2θ 33.74, d = 2.656 Å, rel. 11
2θ 37.30, d = 2.411 Å, rel. 36
2θ 39.82, d = 2.264 Å, rel. 64
2θ 41.26, d = 2.188 Å, rel. 40
2θ 47.10, d = 1.929 Å, rel. 20
2θ 54.15, d = 1.694 Å, rel. 15
2θ 66.93, d = 1.398 Å, rel. 17

No. 2
# Li2Cd3Ag2
Theoretical powder XRD pattern, Cu Kα X-rays. Input: a cell relaxed with PBE.
Lines closer than 0.1° are merged.

Crystal structure
a = 4.8782 Å, b = 5.2424 Å, c = 5.3471 Å
α = 96.46°, β = 95.20°, γ = 104.99°
Atoms (fractional coordinates):
Li1 0.1472 0.2807 0.0603
Li2 0.8528 0.7193 0.9397
Cd1 0.0000 0.0000 0.5000
Cd2 0.2946 0.5881 0.6586
Cd3 0.7054 0.4119 0.3414
Ag1 0.4168 0.8372 0.1954
Ag2 0.5832 0.1628 0.8046

Principal peaks in the range 2θ = 5–70°, in order of rising 2θ:
2θ 16.82, d = 5.272 Å, rel. 30
2θ 23.81, d = 3.737 Å, rel. 26
2θ 29.45, d = 3.033 Å, rel. 24
2θ 36.56, d = 2.458 Å, rel. 58
2θ 37.00, d = 2.429 Å, rel. 58
2θ 37.49, d = 2.399 Å, rel. 57
2θ 37.79, d = 2.381 Å, rel. 56
2θ 40.90, d = 2.206 Å, rel. 100
2θ 47.62, d = 1.910 Å, rel. 28
2θ 60.43, d = 1.532 Å, rel. 19

No. 3
# AcSbAs4
Theoretical powder XRD pattern, Cu Kα X-rays. Input: a cell relaxed with PBE.
Lines closer than 0.1° are merged.

Crystal structure
a = 5.8786 Å, b = 5.8786 Å, c = 5.8786 Å
α = 60.00°, β = 60.00°, γ = 60.00°
Atoms (fractional coordinates):
Ac1 0.0000 0.0000 0.0000
Sb1 0.7500 0.7500 0.7500
As1 0.3857 0.3857 0.3857
As2 0.3857 0.3857 0.8430
As3 0.3857 0.8430 0.3857
As4 0.8430 0.3857 0.3857

Principal peaks in the range 2θ = 5–70°, in order of rising 2θ:
2θ 18.48, d = 4.800 Å, rel. 9
2θ 21.38, d = 4.157 Å, rel. 11
2θ 30.41, d = 2.939 Å, rel. 60
2θ 35.82, d = 2.507 Å, rel. 100
2θ 37.47, d = 2.400 Å, rel. 19
2θ 47.68, d = 1.907 Å, rel. 7
2θ 54.04, d = 1.697 Å, rel. 24
2θ 57.61, d = 1.600 Å, rel. 38
2θ 63.28, d = 1.470 Å, rel. 24
2θ 66.54, d = 1.405 Å, rel. 3

No. 4
# Sm6Y4Tm
Theoretical powder XRD pattern, Cu Kα X-rays. Input: a cell relaxed with PBE.
Lines closer than 0.1° are merged.

Crystal structure
a = 5.6575 Å, b = 5.6575 Å, c = 25.7838 Å
α = 90.00°, β = 90.00°, γ = 118.16°
Atoms (fractional coordinates):
Sm1 0.0000 0.0000 0.0000
Sm2 0.0000 0.0000 0.5000
Sm3 0.0425 0.9575 0.7500
Sm4 0.3030 0.6970 0.1037
Sm5 0.3030 0.6970 0.3963
Sm6 0.3710 0.6290 0.6832
Sm7 0.3710 0.6290 0.8168
Sm8 0.6290 0.3710 0.1832
Sm9 0.6290 0.3710 0.3168
Sm10 0.6970 0.3030 0.6037
Sm11 0.6970 0.3030 0.8963
Sm12 0.9575 0.0425 0.2500
Y1 0.0377 0.9623 0.6235
Y2 0.0377 0.9623 0.8765
Y3 0.3482 0.6518 0.5441
Y4 0.3482 0.6518 0.9559
Y5 0.6518 0.3482 0.0441
Y6 0.6518 0.3482 0.4559
Y7 0.9623 0.0377 0.1235
Y8 0.9623 0.0377 0.3765
Tm1 0.2943 0.7057 0.2500
Tm2 0.7057 0.2943 0.7500

Principal peaks in the range 2θ = 5–70°, in order of rising 2θ:
2θ 27.71, d = 3.220 Å, rel. 18
2θ 30.16, d = 2.963 Å, rel. 85
2θ 30.47, d = 2.934 Å, rel. 59
2θ 30.76, d = 2.907 Å, rel. 80
2θ 31.65, d = 2.827 Å, rel. 100
2θ 31.84, d = 2.810 Å, rel. 50
2θ 33.09, d = 2.707 Å, rel. 53
2θ 43.84, d = 2.065 Å, rel. 44
2θ 55.25, d = 1.663 Å, rel. 23
2θ 57.08, d = 1.614 Å, rel. 29

No. 5
# TaAlGe
Theoretical powder XRD pattern, Cu Kα X-rays. Input: a cell relaxed with PBE.
Lines closer than 0.1° are merged.

Crystal structure
a = 5.1689 Å, b = 5.1689 Å, c = 4.9800 Å
α = 104.47°, β = 104.47°, γ = 121.06°
Atoms (fractional coordinates):
Ta1 0.1250 0.8750 0.5000
Ta2 0.8750 0.1250 0.0000
Al1 0.2131 0.4626 0.6748
Al2 0.4626 0.2131 0.1748
Ge1 0.5417 0.7926 0.3331
Ge2 0.7926 0.5417 0.8331

Principal peaks in the range 2θ = 5–70°, in order of rising 2θ:
2θ 22.60, d = 3.935 Å, rel. 80
2θ 28.75, d = 3.105 Å, rel. 46
2θ 36.31, d = 2.474 Å, rel. 25
2θ 37.44, d = 2.402 Å, rel. 100
2θ 40.07, d = 2.250 Å, rel. 41
2θ 40.76, d = 2.214 Å, rel. 79
2θ 47.42, d = 1.917 Å, rel. 51
2θ 58.88, d = 1.568 Å, rel. 13
2θ 63.78, d = 1.459 Å, rel. 21
2θ 68.91, d = 1.363 Å, rel. 17